1.
Simulated PXRD pattern
Compound: BaLaBr5
Radiation: Cu Kα (weighted mean of Kα1 and Kα2)
Structure: a structure optimized by DFT (GGA-PBE)

Cell and atoms:
a b c (Å): 16.231 7.693 15.717
angles (deg): 90.00 90.00 90.00
Element x y z (fractional)
Ba1 0.093 0.250 0.189
Ba2 0.105 0.750 0.479
Ba3 0.395 0.250 0.979
Ba4 0.407 0.750 0.689
Ba5 0.593 0.250 0.311
Ba6 0.605 0.750 0.021
Ba7 0.895 0.250 0.521
Ba8 0.907 0.750 0.811
La1 0.102 0.250 0.789
La2 0.221 0.750 0.963
La3 0.279 0.250 0.463
La4 0.398 0.750 0.289
La5 0.602 0.250 0.711
La6 0.721 0.750 0.537
La7 0.779 0.250 0.037
La8 0.898 0.750 0.211
Br1 0.028 0.510 0.674
Br2 0.028 0.990 0.674
Br3 0.076 0.521 0.922
Br4 0.076 0.750 0.161
Br5 0.076 0.979 0.922
Br6 0.093 0.250 0.481
Br7 0.223 0.513 0.327
Br8 0.223 0.987 0.327
Br9 0.248 0.524 0.590
Br10 0.248 0.976 0.590
Br11 0.252 0.024 0.090
Br12 0.252 0.476 0.090
Br13 0.277 0.013 0.827
Br14 0.277 0.487 0.827
Br15 0.407 0.750 0.981
Br16 0.424 0.021 0.422
Br17 0.424 0.250 0.661
Br18 0.424 0.479 0.422
Br19 0.472 0.010 0.174
Br20 0.472 0.490 0.174
Br21 0.528 0.510 0.826
Br22 0.528 0.990 0.826
Br23 0.576 0.521 0.578
Br24 0.576 0.750 0.339
Br25 0.576 0.979 0.578
Br26 0.593 0.250 0.019
Br27 0.723 0.513 0.173
Br28 0.723 0.987 0.173
Br29 0.748 0.524 0.910
Br30 0.748 0.976 0.910
Br31 0.752 0.024 0.410
Br32 0.752 0.476 0.410
Br33 0.777 0.013 0.673
Br34 0.777 0.487 0.673
Br35 0.907 0.750 0.519
Br36 0.924 0.021 0.078
Br37 0.924 0.250 0.839
Br38 0.924 0.479 0.078
Br39 0.972 0.010 0.326
Br40 0.972 0.490 0.326

Largest 8 diffraction maxima, most intense first, 10 to 90 degrees two-theta:
2θ 29.33, intensity 100; 2θ 32.58, intensity 66; 2θ 32.45, intensity 64; 2θ 28.07, intensity 59; 2θ 19.50, intensity 57; 2θ 36.68, intensity 52; 2θ 32.06, intensity 50; 2θ 33.12, intensity 38

***

2.
Simulated PXRD pattern
Compound: ThB6
Radiation: Cu Kα (weighted mean of Kα1 and Kα2)
Structure: a structure optimized by DFT (GGA-PBE)

Cell and atoms:
a b c (Å): 4.111 4.111 4.111
angles (deg): 90.00 90.00 90.00
Element x y z (fractional)
Th1 0.000 0.000 0.000
B1 0.197 0.500 0.500
B2 0.500 0.197 0.500
B3 0.500 0.500 0.197
B4 0.500 0.500 0.803
B5 0.500 0.803 0.500
B6 0.803 0.500 0.500

Largest 8 diffraction maxima, most intense first, 10 to 90 degrees two-theta:
2θ 30.76, intensity 100; 2θ 21.62, intensity 81; 2θ 49.59, intensity 53; 2θ 37.91, intensity 42; 2θ 54.69, intensity 33; 2θ 68.47, intensity 28; 2θ 44.06, intensity 21; 2θ 89.13, intensity 21

***

3.
Simulated PXRD pattern
Compound: Sr3Nd4O9
Radiation: Cu Kα (weighted mean of Kα1 and Kα2)
Structure: a structure optimized by DFT (GGA-PBE)

Cell and atoms:
a b c (Å): 6.885 6.885 13.270
angles (deg): 111.62 111.62 63.34
Element x y z (fractional)
Sr1 0.058 0.942 0.500
Sr2 0.064 0.738 0.226
Sr3 0.260 0.537 0.845
Sr4 0.537 0.260 0.345
Sr5 0.738 0.064 0.726
Sr6 0.942 0.058 0.000
Nd1 0.233 0.410 0.558
Nd2 0.342 0.942 0.777
Nd3 0.410 0.233 0.058
Nd4 0.492 0.757 0.141
Nd5 0.573 0.815 0.435
Nd6 0.757 0.492 0.641
Nd7 0.815 0.573 0.935
Nd8 0.942 0.342 0.277
O1 0.039 0.201 0.878
O2 0.067 0.788 0.648
O3 0.142 0.266 0.669
O4 0.176 0.627 0.038
O5 0.195 0.525 0.402
O6 0.201 0.039 0.378
O7 0.266 0.142 0.169
O8 0.446 0.832 0.961
O9 0.496 0.831 0.603
O10 0.504 0.534 0.247
O11 0.525 0.195 0.902
O12 0.534 0.504 0.747
O13 0.627 0.176 0.538
O14 0.741 0.846 0.320
O15 0.788 0.067 0.148
O16 0.831 0.496 0.103
O17 0.832 0.446 0.461
O18 0.846 0.741 0.820

Largest 8 diffraction maxima, most intense first, 10 to 90 degrees two-theta:
2θ 29.02, intensity 100; 2θ 29.84, intensity 58; 2θ 29.97, intensity 52; 2θ 37.26, intensity 41; 2θ 36.93, intensity 39; 2θ 39.82, intensity 30; 2θ 30.51, intensity 25; 2θ 46.78, intensity 25